Theoretical PXRD pattern of Li9Co7O16 for CuKα, from DFT lattice parameters and positions (PBE+U).

Top 10 peaks for 2θ = 10–90°, by intensity:
index	2θ/deg	intensity
0 1 1	18.8	100
2 2 2	44.8	50
2 1 1	37.2	25
1 -2 2	45.0	24
3 2 -2	65.8	13
1 4 0	65.0	13
1 1 -3	37.1	12
1 0 4	38.8	11
1 3 -1	49.1	8
3 1 -3	69.0	7

Crystal structure
```
data_Li9Co7O16
_space_group_name_H-M_alt 'P -1'
_space_group_IT_number 2
_space_group_name_Hall '-P 1'
_cell_length_a 4.915
_cell_length_b 5.742
_cell_length_c 9.888
_cell_angle_alpha 89.07
_cell_angle_beta 80.56
_cell_angle_gamma 73.31
loop_
_atom_site_label
_atom_site_type_symbol
_atom_site_fract_x
_atom_site_fract_y
_atom_site_fract_z
Li1 Li 0.000 0.000 0.000
Li2 Li 0.000 0.000 0.500
Li3 Li 0.000 0.500 0.000
Li4 Li 0.003 0.247 0.244
Li5 Li 0.494 0.632 0.878
Li6 Li 0.499 0.875 0.625
Co1 Co 0.000 0.245 0.755
Co2 Co 0.000 0.500 0.500
Co3 Co 0.499 0.626 0.375
Co4 Co 0.499 0.876 0.123
O1 O 0.235 0.466 0.321
O2 O 0.238 0.212 0.572
O3 O 0.245 0.699 0.081
O4 O 0.247 0.968 0.808
O5 O 0.257 0.916 0.305
O6 O 0.259 0.416 0.804
O7 O 0.261 0.663 0.554
O8 O 0.278 0.172 0.056
```